This entry pairs a crystal structure of Gd3Tc3Os2 with its computed XRD peak list. Radiation: copper Kα. Structure: the PBE geometry in OQMD.
Peak positions follow from Bragg's law for the DFT cell and can differ from measured ones.

Atomic structure:
```
Gd3Tc3Os2
1.0
4.437 0.000 0.000
0.000 4.437 0.000
0.000 0.000 10.264
Gd Tc Os
3 3 2
Cartesian
0.000 0.000 0.000
0.000 0.000 5.132
2.219 2.219 0.000
2.219 2.219 2.875
2.219 2.219 5.132
2.219 2.219 7.388
0.000 2.219 8.363
2.219 0.000 1.901
```

Largest 6 diffraction maxima, low angle first, 2θ = 15–90°:
- 2θ = 21.82°, intensity 72.9
- 2θ = 26.56°, intensity 51.2
- 2θ = 33.47°, intensity 85.8
- 2θ = 40.65°, intensity 100.0
- 2θ = 45.68°, intensity 50.2
- 2θ = 58.85°, intensity 40.1

***

This entry pairs a crystal structure of Gd2Tm3ZrTe2Os with its computed XRD peak list. Radiation: copper Kα. Structure: the PBE geometry in OQMD.
Peak positions follow from Bragg's law for the DFT cell and can differ from measured ones.

Atomic structure:
```
Gd2Tm3ZrTe2Os
1.0
3.945 0.000 0.000
0.000 6.940 4.192
0.000 -6.940 4.192
Gd Tm Zr Te Os
2 3 1 2 1
Cartesian
0.000 -4.203 4.192
0.000 4.203 4.192
1.973 0.000 0.334
1.973 -1.631 5.655
1.973 1.631 5.655
0.000 0.000 3.379
1.973 -2.203 2.552
1.973 2.203 2.552
0.000 0.000 6.782
```

Largest 6 diffraction maxima, low angle first, 2θ = 15–90°:
- 2θ = 31.13°, intensity 49.7
- 2θ = 31.66°, intensity 98.4
- 2θ = 33.77°, intensity 100.0
- 2θ = 34.42°, intensity 48.0
- 2θ = 37.60°, intensity 50.9
- 2θ = 46.01°, intensity 43.7

***

This entry pairs a crystal structure of GdTe4P with its computed XRD peak list. Radiation: copper Kα. Structure: the PBE geometry in OQMD.
Peak positions follow from Bragg's law for the DFT cell and can differ from measured ones.

Atomic structure:
```
GdTe4P
1.0
7.350 0.000 0.000
1.288 7.291 0.000
0.339 0.191 8.154
Gd Te P
2 8 2
Cartesian
1.793 1.553 0.485
7.183 5.929 7.668
0.704 0.345 6.114
1.835 3.851 6.224
3.885 5.676 0.760
3.459 2.073 3.047
5.517 5.408 5.107
5.091 1.806 7.394
7.142 3.630 1.930
8.273 7.136 2.039
3.537 5.697 6.516
5.440 1.784 1.638
```

Largest 6 diffraction maxima, low angle first, 2θ = 15–90°:
- 2θ = 25.40°, intensity 45.8
- 2θ = 26.36°, intensity 56.0
- 2θ = 27.33°, intensity 100.0
- 2θ = 29.28°, intensity 44.3
- 2θ = 32.55°, intensity 44.7
- 2θ = 46.74°, intensity 48.7

***

> Number 3 is which compound?

GdTe4P

***

Repeat the third record exactly.
This entry pairs a crystal structure of GdTe4P with its computed XRD peak list. Radiation: copper Kα. Structure: the PBE geometry in OQMD.
Peak positions follow from Bragg's law for the DFT cell and can differ from measured ones.

Atomic structure:
```
GdTe4P
1.0
7.350 0.000 0.000
1.288 7.291 0.000
0.339 0.191 8.154
Gd Te P
2 8 2
Cartesian
1.793 1.553 0.485
7.183 5.929 7.668
0.704 0.345 6.114
1.835 3.851 6.224
3.885 5.676 0.760
3.459 2.073 3.047
5.517 5.408 5.107
5.091 1.806 7.394
7.142 3.630 1.930
8.273 7.136 2.039
3.537 5.697 6.516
5.440 1.784 1.638
```

Largest 6 diffraction maxima, low angle first, 2θ = 15–90°:
- 2θ = 25.40°, intensity 45.8
- 2θ = 26.36°, intensity 56.0
- 2θ = 27.33°, intensity 100.0
- 2θ = 29.28°, intensity 44.3
- 2θ = 32.55°, intensity 44.7
- 2θ = 46.74°, intensity 48.7